Theoretical powder XRD pattern of RbInPb for Cu Kα (λ = 1.5418 Å), from a DFT-relaxed cell (PBE, Alexandria).

Largest 12 diffraction maxima, low angle first, 2θ from 15° to 90°:
2θ/deg	Rel. int.	h k l
16.07	36	0 1 0
18.06	41	1 0 0
23.05	57	1 1 -1
30.60	36	0 2 -1
30.83	57	0 1 2
31.57	100	1 1 -3
31.96	43	1 0 -3
34.92	43	2 0 -1
35.76	56	1 2 -1
39.93	27	1 1 2
47.10	22	2 2 -2
47.25	27	-2 1 3

Structure:
```
data_RbInPb
_cell_length_a 5.138
_cell_length_b 5.844
_cell_length_c 9.206
_cell_angle_alpha 108.47
_cell_angle_beta 106.07
_cell_angle_gamma 90.02
_symmetry_space_group_name_H-M 'P 1'
_symmetry_Int_Tables_number 1
_symmetry_space_group_name_Hall 'P 1'
loop_
_atom_site_label
_atom_site_fract_x
_atom_site_fract_y
_atom_site_fract_z
_atom_site_occupancy
Rb1 0.000 0.000 0.000 1
Rb2 0.341 0.344 0.688 1
In1 0.171 0.777 0.344 1
In2 0.671 0.116 0.344 1
Pb1 0.577 0.512 0.154 1
Pb2 0.764 0.701 0.534 1
```